This entry pairs a crystal structure of CaNp3S4 with its theoretical XRD peak list. Radiation: Cu Kα X-rays. Structure: a DFT-relaxed cell (PBE, Alexandria).
No peak broadening, texture or thermal motion is included.

Crystal structure
Lattice parameters (Å, degrees): 7.899 11.168 3.940 90.00 90.00 90.00
Space group Cmmm (No. 65)
Unique sites:
1 Ca 0.000 0.000 0.000 [2 per cell]
2 Np 0.000 0.500 0.000 [2 per cell]
3 Np 0.250 0.250 0.500 [4 per cell]
4 S 0.000 0.253 0.000 [4 per cell]
5 S 0.246 0.500 0.500 [4 per cell]

Most intense lines, 5 to 70 degrees two-theta, by angle:
2theta	I/Imax
13.73	23
26.50	15
27.69	91
32.08	100
45.98	61
46.08	12
54.54	46
57.13	13
57.23	13
67.09	12